(1)
Computed powder XRD pattern of SnP2O7 for Cu Kα (weighted mean of Kα1 and Kα2), from a crystal structure in the Materials Project, relaxed with GGA-PBE.
No peak broadening, texture or thermal motion is included.

Crystal structure
a b c (Å): 5.1746 6.8548 8.4593
angles (deg): 68.93 87.73 87.89
Space group P-1 (No. 2)
Inequivalent atoms, fractional coordinates:
1 Sn 0.2450 0.2108 0.2338 [2 per cell]
2 P 0.2392 0.1105 0.6691 [2 per cell]
3 P 0.2759 0.4555 0.8091 [2 per cell]
4 O 0.0443 0.9415 0.2761 [2 per cell]
5 O 0.0977 0.6456 0.7300 [2 per cell]
6 O 0.1753 0.3017 0.9792 [2 per cell]
7 O 0.2806 0.3372 0.6766 [2 per cell]
8 O 0.3030 0.1388 0.4863 [2 per cell]
9 O 0.4272 0.9558 0.7922 [2 per cell]
10 O 0.4442 0.4826 0.1856 [2 per cell]

Largest 8 diffraction maxima, by angle, 15° ≤ 2θ ≤ 90°:
d_spacing	two_theta	Rel. int.	hkl
4.069	21.8	86	1 1 0
3.973	22.4	94	1 -1 0
3.945	22.5	100	0 0 2
2.904	30.8	34	1 2 1
2.813	31.8	22	0 1 3
2.804	31.9	22	-1 2 1
2.585	34.7	26	2 0 0
2.555	35.1	19	1 -1 2

(2)
Computed powder XRD pattern of SnP2O7 for Cu Kα (weighted mean of Kα1 and Kα2), from a crystal structure in the Materials Project, relaxed with GGA-PBE.
No peak broadening, texture or thermal motion is included.

Crystal structure
a b c (Å): 8.4212 5.2446 13.7445
angles (deg): 90.00 109.15 90.00
Space group P2_1/c (No. 14)
Inequivalent atoms, fractional coordinates:
1 Sn 0.2359 0.2470 0.1427 [4 per cell]
2 P 0.1962 0.7353 0.9772 [4 per cell]
3 P 0.3236 0.7346 0.7988 [4 per cell]
4 O 0.0205 0.7051 0.4044 [4 per cell]
5 O 0.2190 0.5528 0.2312 [4 per cell]
6 O 0.2200 0.0445 0.5124 [4 per cell]
7 O 0.2415 0.0273 0.2679 [4 per cell]
8 O 0.2592 0.5848 0.5688 [4 per cell]
9 O 0.3229 0.7155 0.4138 [4 per cell]
10 O 0.4931 0.2377 0.6942 [4 per cell]

Largest 8 diffraction maxima, by angle, 15° ≤ 2θ ≤ 90°:
d_spacing	two_theta	Rel. int.	hkl
4.080	21.8	100	0 1 2
3.978	22.4	68	2 0 0
2.867	31.2	34	1 1 -4
2.797	32.0	10	3 0 -2
2.622	34.2	15	0 2 0
2.593	34.6	19	2 1 2
2.409	37.3	16	1 2 -2
1.989	45.6	11	4 0 0

(3)
Computed powder XRD pattern of Sn2P5O15 for Cu Kα (weighted mean of Kα1 and Kα2), from a crystal structure in the Materials Project, relaxed with GGA-PBE.
No peak broadening, texture or thermal motion is included.

Crystal structure
a b c (Å): 5.4794 9.3506 13.7487
angles (deg): 90.00 113.02 90.00
Space group Pc (No. 7)
Inequivalent atoms, fractional coordinates:
1 Sn 0.0000 0.2106 0.0000 [2 per cell]
2 Sn 0.9195 0.2126 0.6515 [2 per cell]
3 P 0.2646 0.3065 0.4942 [2 per cell]
4 P 0.3761 0.0204 0.4191 [2 per cell]
5 P 0.4575 0.0321 0.2180 [2 per cell]
6 P 0.6447 0.3028 0.1586 [2 per cell]
7 P 0.9585 0.4884 0.8238 [2 per cell]
8 O 0.0574 0.4097 0.7517 [2 per cell]
9 O 0.0654 0.3315 0.5420 [2 per cell]
10 O 0.1860 0.3980 0.3866 [2 per cell]
11 O 0.2006 0.1116 0.8974 [2 per cell]
12 O 0.2148 0.0461 0.1153 [2 per cell]
13 O 0.2177 0.1450 0.4493 [2 per cell]
14 O 0.3624 0.3285 0.0820 [2 per cell]
15 O 0.3661 0.0879 0.3095 [2 per cell]
16 O 0.5539 0.3327 0.5580 [2 per cell]
17 O 0.5878 0.1103 0.7439 [2 per cell]
18 O 0.6585 0.0058 0.4972 [2 per cell]
19 O 0.6707 0.1523 0.2192 [2 per cell]
20 O 0.7063 0.4127 0.2549 [2 per cell]
21 O 0.8608 0.3093 0.1167 [2 per cell]
22 O 0.8695 0.4054 0.8985 [2 per cell]

Largest 8 diffraction maxima, by angle, 15° ≤ 2θ ≤ 90°:
d_spacing	two_theta	Rel. int.	hkl
5.043	17.6	23	1 0 0
4.727	18.8	19	1 1 -1
4.427	20.1	22	1 1 -2
3.768	23.6	100	1 1 -3
3.428	26.0	28	1 2 0
3.356	26.6	20	1 0 2
2.712	33.0	24	1 2 -4
2.651	33.8	18	1 3 0

(4)
Computed powder XRD pattern of SnP4O12 for Cu Kα (weighted mean of Kα1 and Kα2), from a crystal structure in the Materials Project, relaxed with GGA-PBE.
No peak broadening, texture or thermal motion is included.

Crystal structure
a b c (Å): 15.6706 7.1454 9.0901
angles (deg): 90.00 124.44 90.00
Space group C2/c (No. 15)
Inequivalent atoms, fractional coordinates:
1 Sn 0.0000 0.1987 0.2500 [4 per cell]
2 P 0.1315 0.4566 0.1189 [8 per cell]
3 P 0.1423 0.1499 0.6911 [8 per cell]
4 O 0.0624 0.4946 0.4266 [8 per cell]
5 O 0.0656 0.0602 0.7150 [8 per cell]
6 O 0.1087 0.2884 0.1946 [8 per cell]
7 O 0.1261 0.1334 0.5094 [8 per cell]
8 O 0.1518 0.3669 0.7447 [8 per cell]
9 O 0.2444 0.4205 0.1592 [8 per cell]

Largest 8 diffraction maxima, by angle, 15° ≤ 2θ ≤ 90°:
d_spacing	two_theta	Rel. int.	hkl
5.617	15.8	60	1 1 -1
4.217	21.1	100	3 1 -1
3.749	23.7	56	0 0 2
3.690	24.1	53	4 0 -2
3.215	27.7	46	2 2 -1
2.812	31.8	35	3 1 1
2.789	32.1	30	3 1 -3
2.612	34.3	30	6 0 -2